KLaZrFeO6: calculated X-ray powder pattern (Cu Ka), based on the GGA+U geometry in the Materials Project.

Structure:
abc: 5.7082 5.7082 5.7082
angles: 60.00 60.00 60.00
Atoms (fractional coordinates):
K1 0.0000 0.0000 0.0000
La1 0.5000 0.5000 0.5000
Zr1 0.2500 0.2500 0.2500
Fe1 0.7500 0.7500 0.7500
O1 0.5076 0.5076 0.9924
O2 0.5076 0.9924 0.5076
O3 0.5076 0.9924 0.9924
O4 0.9924 0.5076 0.5076
O5 0.9924 0.5076 0.9924
O6 0.9924 0.9924 0.5076

Peak list (6 most intense, 10° ≤ 2θ ≤ 90°, most intense first)
2θ = 31.3°, rel. 100
2θ = 55.8°, rel. 38
2θ = 44.9°, rel. 36
2θ = 19.0°, rel. 25
2θ = 65.4°, rel. 21
2θ = 74.3°, rel. 16